CsWF4: theoretical powder diffractogram (Cu Kα, 1.54184 Å), based on a DFT-relaxed cell (PBE+U, Alexandria).
Lines closer than 0.1° are merged.

Cell and atoms:
```
data_CsWF4
_chemical_formula_sum 'Cs4 W4 F16'
_space_group_name_H-M_alt 'C 1 2/c 1'
_space_group_IT_number 15
_cell_length_a 15.1776
_cell_length_b 5.7826
_cell_length_c 5.7108
_cell_angle_alpha 90.00
_cell_angle_beta 110.86
_cell_angle_gamma 90.00
loop_
_space_group_symop_operation_xyz
'x,y,z'
'-x,-y,-z'
'-x,y,-z+1/2'
'x,-y,z+1/2'
'x+1/2,y+1/2,z'
'-x+1/2,-y+1/2,-z'
'-x+1/2,y+1/2,-z+1/2'
'x+1/2,-y+1/2,z+1/2'
loop_
_atom_site_label
_atom_site_type_symbol
_atom_site_fract_x
_atom_site_fract_y
_atom_site_fract_z
Cs1 Cs 0.0000 0.2449 0.2500
W1 W 0.2500 0.2500 0.0000
F1 F 0.1040 0.2986 0.8410
F2 F 0.2248 0.0678 0.2953
```

Main lines, by angle (5 to 70 degrees two-theta):
- d 7.091, 12.48 deg, I 11, hkl 2 0 0
- d 3.548, 25.10 deg, I 100, hkl 4 0 0
- d 3.502, 25.43 deg, I 61, hkl 3 1 -1
- d 2.891, 30.93 deg, I 22, hkl 0 2 0
- d 2.855, 31.33 deg, I 22, hkl 2 0 -2
- d 2.241, 40.25 deg, I 15, hkl 4 2 0
- d 2.057, 44.02 deg, I 20, hkl 5 1 1
- d 2.031, 44.62 deg, I 36, hkl 2 2 -2
- d 1.773, 51.55 deg, I 26, hkl 8 0 0
- d 1.450, 64.22 deg, I 12, hkl 3 1 3